1.
MgCrN2: simulated powder diffraction line list (Cu Kα (weighted mean of Kα1 and Kα2)), based on a GGA-PBE-relaxed structure.
Intensities are scaled so that the largest is 1000.

Atomic structure:
```
MgCrN2
1.0
5.6591 0.0000 0.0000
0.0000 6.5500 0.0000
0.0000 0.0000 5.1464
Mg Cr N
4 4 8
direct
0.0922 0.1215 0.0000
0.4078 0.6215 0.5000
0.5922 0.3785 0.0000
0.9078 0.8785 0.5000
0.0743 0.6281 0.0078
0.4257 0.1281 0.5078
0.5743 0.8719 0.0078
0.9257 0.3719 0.5078
0.0597 0.6055 0.3668
0.1058 0.1441 0.4130
0.3942 0.6441 0.9130
0.4403 0.1055 0.8668
0.5597 0.8945 0.3668
0.6058 0.3559 0.4130
0.8942 0.8559 0.9130
0.9403 0.3945 0.8668
```

The 6 most intense peaks (2θ = 15–90°), in order of rising 2θ:
2θ (°), I/Imax
22.0, 274
31.6, 708
34.9, 475
36.2, 1000
56.3, 275
63.4, 357

***

2.
NaMg14Cr: simulated powder diffraction line list (Cu Kα (weighted mean of Kα1 and Kα2)), based on a GGA-PBE-relaxed structure.
Intensities are scaled so that the largest is 1000.

Atomic structure:
```
NaMg14Cr
1.0
10.2577 0.0000 0.0000
0.0000 3.2058 5.5116
0.0000 -3.2058 5.5116
Na Mg Cr
1 14 1
direct
0.0000 0.0000 0.0000
0.0000 0.0004 0.5005
0.0000 0.5005 0.0004
0.2458 0.6644 0.6644
0.2497 0.1722 0.6625
0.2497 0.6625 0.1722
0.2545 0.1678 0.1678
0.5000 0.9995 0.9995
0.5000 0.9998 0.5006
0.5000 0.4998 0.4998
0.5000 0.5006 0.9998
0.7455 0.1678 0.1678
0.7503 0.1722 0.6625
0.7503 0.6625 0.1722
0.7542 0.6644 0.6644
0.0000 0.4997 0.4997
```

The 6 most intense peaks (2θ = 15–90°), in order of rising 2θ:
2θ (°), I/Imax
32.3, 244
35.0, 386
36.9, 1000
37.0, 493
64.0, 180
69.4, 185